Record 1
For Mg2Pb, a PBE-relaxed structure gives the theoretical powder XRD pattern in this record (Cu Kα (weighted mean of Kα1 and Kα2)).
Peak positions follow from Bragg's law for the DFT cell and can differ from measured ones.

Cell and atoms:
```
data_Mg2Pb
_chemical_formula_sum 'Mg8 Pb4'
_symmetry_space_group_name_H-M 'P n m a'
_symmetry_Int_Tables_number 62
_symmetry_space_group_name_Hall '-P 2ac 2n'
_cell_length_a 7.7811
_cell_length_b 4.5191
_cell_length_c 8.7555
_cell_angle_alpha 90.00
_cell_angle_beta 90.00
_cell_angle_gamma 90.00
loop_
_atom_site_label
_atom_site_fract_x
_atom_site_fract_y
_atom_site_fract_z
_atom_site_occupancy
Mg1 0.0330 0.2500 0.1784 1
Mg2 0.1316 0.2500 0.5705 1
Pb1 0.2447 0.2500 0.8848 1
```

Peak list (8 most intense, 2θ = 10–90°, sorted by position)
2θ (°), intensity
22.14, 51
22.86, 51
23.31, 100
24.95, 96
32.03, 68
36.66, 38
40.42, 37
46.72, 43

***

Record 2
For PrCoSi, a PBE-relaxed structure gives the theoretical powder XRD pattern in this record (Cu Kα (weighted mean of Kα1 and Kα2)).
Peak positions follow from Bragg's law for the DFT cell and can differ from measured ones.

Cell and atoms:
```
data_PrCoSi
_chemical_formula_sum 'Pr2 Co2 Si2'
_symmetry_space_group_name_H-M 'P 4/n m m'
_symmetry_Int_Tables_number 129
_cell_length_a 4.0260
_cell_length_b 4.0260
_cell_length_c 7.1342
_cell_angle_alpha 90.00
_cell_angle_beta 90.00
_cell_angle_gamma 90.00
loop_
_symmetry_equiv_pos_as_xyz
'x,y,z'
'-x,-y,-z'
'-y+1/2,x,z'
'y+1/2,-x,-z'
'-x+1/2,-y+1/2,z'
'x+1/2,y+1/2,-z'
'y,-x+1/2,z'
'-y,x+1/2,-z'
'x+1/2,-y,-z'
'-x+1/2,y,z'
'-y,-x,-z'
'y,x,z'
'-x,y+1/2,-z'
'x,-y+1/2,z'
'y+1/2,x+1/2,-z'
'-y+1/2,-x+1/2,z'
loop_
_atom_site_label
_atom_site_fract_x
_atom_site_fract_y
_atom_site_fract_z
_atom_site_occupancy
Pr1 0.2500 0.2500 0.1852 1
Co1 0.2500 0.7500 0.5000 1
Si1 0.2500 0.2500 0.6649 1
```

Peak list (8 most intense, 2θ = 10–90°, sorted by position)
2θ (°), intensity
25.40, 100
31.42, 31
33.57, 73
33.90, 47
40.54, 79
45.04, 52
52.41, 28
57.32, 31

***

Record 3
For ZnCdSe2, a PBE-relaxed structure gives the theoretical powder XRD pattern in this record (Cu Kα (weighted mean of Kα1 and Kα2)).
Peak positions follow from Bragg's law for the DFT cell and can differ from measured ones.

Cell and atoms:
```
data_ZnCdSe2
_chemical_formula_sum 'Zn4 Cd4 Se8'
_symmetry_space_group_name_H-M 'F m -3 m'
_symmetry_Int_Tables_number 225
_symmetry_space_group_name_Hall '-F 4 2 3'
_cell_length_a 6.9430
_cell_length_b 6.9430
_cell_length_c 6.9430
_cell_angle_alpha 90.00
_cell_angle_beta 90.00
_cell_angle_gamma 90.00
loop_
_atom_site_label
_atom_site_fract_x
_atom_site_fract_y
_atom_site_fract_z
_atom_site_occupancy
Zn1 0.0000 0.0000 0.0000 1
Cd1 0.0000 0.0000 0.5000 1
Se1 0.2500 0.2500 0.2500 1
```

Peak list (8 most intense, 2θ = 10–90°, sorted by position)
2θ (°), intensity
22.18, 4
36.61, 100
43.22, 2
52.74, 17
57.89, 1
65.91, 34
77.82, 10
89.22, 15

***

Record 4
For BaGa3Sn, a PBE-relaxed structure gives the theoretical powder XRD pattern in this record (Cu Kα (weighted mean of Kα1 and Kα2)).
Peak positions follow from Bragg's law for the DFT cell and can differ from measured ones.

Cell and atoms:
```
data_BaGa3Sn
_chemical_formula_sum 'Ba2 Ga6 Sn2'
_symmetry_space_group_name_H-M 'I 4 m m'
_symmetry_Int_Tables_number 107
_symmetry_space_group_name_Hall 'I 4 -2'
_cell_length_a 4.8921
_cell_length_b 4.8921
_cell_length_c 10.7876
_cell_angle_alpha 90.00
_cell_angle_beta 90.00
_cell_angle_gamma 90.00
loop_
_atom_site_label
_atom_site_fract_x
_atom_site_fract_y
_atom_site_fract_z
_atom_site_occupancy
Ba1 0.0000 0.0000 0.0000 1
Ga1 0.0000 0.0000 0.3645 1
Ga2 0.0000 0.5000 0.2604 1
Sn1 0.0000 0.0000 0.6236 1
```

Peak list (8 most intense, 2θ = 10–90°, sorted by position)
2θ (°), intensity
25.75, 32
30.70, 100
30.86, 100
36.74, 89
45.97, 27
48.72, 56
52.94, 31
62.48, 39

***

Record 5
For Pu3I, a PBE-relaxed structure gives the theoretical powder XRD pattern in this record (Cu Kα (weighted mean of Kα1 and Kα2)).
Peak positions follow from Bragg's law for the DFT cell and can differ from measured ones.

Cell and atoms:
```
data_Pu3I
_chemical_formula_sum 'Pu6 I2'
_symmetry_space_group_name_H-M 'I 4/m m m'
_symmetry_Int_Tables_number 139
_symmetry_space_group_name_Hall '-I 4 2'
_cell_length_a 4.4852
_cell_length_b 4.4852
_cell_length_c 9.5639
_cell_angle_alpha 90.00
_cell_angle_beta 90.00
_cell_angle_gamma 90.00
loop_
_atom_site_label
_atom_site_fract_x
_atom_site_fract_y
_atom_site_fract_z
_atom_site_occupancy
Pu1 0.0000 0.0000 0.0000 1
Pu2 0.0000 0.5000 0.2500 1
I1 0.0000 0.0000 0.5000 1
```

Peak list (8 most intense, 2θ = 10–90°, sorted by position)
2θ (°), intensity
33.92, 100
37.62, 19
40.21, 32
56.24, 24
58.18, 11
65.54, 15
69.07, 27
71.37, 12